Record 1
Diffraction record for Cs2TiSiS4. The X-ray diffraction stick pattern is computed, not measured: it uses a cell relaxed with PBE and λ = 1.5418 Å (Cu Kα).
Intensities are scaled so that the largest is 100.

Most intense lines, 2θ = 5–70°, low angle first:
d [Å], Rel. int.
4.761, 65
3.560, 91
3.412, 100
2.992, 71
2.535, 44
2.045, 44

Cell and atoms:
```
data_Cs2TiSiS4
_space_group_name_H-M_alt 'F d d d'
_space_group_IT_number 70
_cell_length_a 6.4034
_cell_length_b 13.8371
_cell_length_c 24.9134
_cell_angle_alpha 90.00
_cell_angle_beta 90.00
_cell_angle_gamma 90.00
loop_
_space_group_symop_operation_xyz
'x,y,z'
'-x,-y,-z'
'-x+1/4,-y+1/4,z'
'x+1/4,y+1/4,-z'
'x,-y+1/4,-z+1/4'
'-x,y+1/4,z+1/4'
'-x+1/4,y,-z+1/4'
'x+1/4,-y,z+1/4'
'x,y+1/2,z+1/2'
'-x,-y+1/2,-z+1/2'
'-x+1/4,-y+3/4,z+1/2'
'x+1/4,y+3/4,-z+1/2'
'x,-y+3/4,-z+3/4'
'-x,y+3/4,z+3/4'
'-x+1/4,y+1/2,-z+3/4'
'x+1/4,-y+1/2,z+3/4'
'x+1/2,y,z+1/2'
'-x+1/2,-y,-z+1/2'
'-x+3/4,-y+1/4,z+1/2'
'x+3/4,y+1/4,-z+1/2'
'x+1/2,-y+1/4,-z+3/4'
'-x+1/2,y+1/4,z+3/4'
'-x+3/4,y,-z+3/4'
'x+3/4,-y,z+3/4'
'x+1/2,y+1/2,z'
'-x+1/2,-y+1/2,-z'
'-x+3/4,-y+3/4,z'
'x+3/4,y+3/4,-z'
'x+1/2,-y+3/4,-z+1/4'
'-x+1/2,y+3/4,z+1/4'
'-x+3/4,y+1/2,-z+1/4'
'x+3/4,-y+1/2,z+1/4'
loop_
_atom_site_label
_atom_site_type_symbol
_atom_site_fract_x
_atom_site_fract_y
_atom_site_fract_z
_atom_site_occupancy
Cs1 Cs 0.1250 0.1250 0.3011 1
Ti1 Ti 0.1250 0.1250 0.1250 1
Si1 Si 0.1250 0.1250 0.6250 1
S1 S 0.1204 0.2904 0.8288 1
```

Record 2
Diffraction record for Cs2TlSi2S6. The X-ray diffraction stick pattern is computed, not measured: it uses a cell relaxed with PBE and λ = 1.5418 Å (Cu Kα).
Intensities are scaled so that the largest is 100.

Most intense lines, 2θ = 5–70°, low angle first:
d [Å], Rel. int.
6.086, 45
4.368, 42
3.844, 100
3.630, 76
2.792, 55
2.639, 38

Cell and atoms:
```
data_Cs2TlSi2S6
_space_group_name_H-M_alt 'R -3 m'
_space_group_IT_number 166
_space_group_name_Hall '-R 3 2"'
_cell_length_a 7.2592
_cell_length_b 7.2592
_cell_length_c 24.2922
_cell_angle_alpha 90.00
_cell_angle_beta 90.00
_cell_angle_gamma 120.00
loop_
_atom_site_label
_atom_site_type_symbol
_atom_site_fract_x
_atom_site_fract_y
_atom_site_fract_z
_atom_site_occupancy
Cs1 Cs 0.0000 0.0000 0.2167 1
Tl1 Tl 0.0000 0.0000 0.0000 1
Si1 Si 0.0000 0.0000 0.4143 1
S1 S 0.0076 0.5038 0.2483 1
```

Record 3
Diffraction record for Cs2SmS10. The X-ray diffraction stick pattern is computed, not measured: it uses a cell relaxed with PBE and λ = 1.5418 Å (Cu Kα).
Intensities are scaled so that the largest is 100.

Most intense lines, 2θ = 5–70°, low angle first:
d [Å], Rel. int.
9.209, 34
4.604, 23
4.184, 100
3.957, 63
3.045, 25
2.462, 24

Cell and atoms:
```
data_Cs2SmS10
_space_group_name_H-M_alt 'P b a m'
_space_group_IT_number 55
_space_group_name_Hall '-P 2 2ab'
_cell_length_a 12.1808
_cell_length_b 14.0687
_cell_length_c 5.2041
_cell_angle_alpha 90.00
_cell_angle_beta 90.00
_cell_angle_gamma 90.00
loop_
_atom_site_label
_atom_site_type_symbol
_atom_site_fract_x
_atom_site_fract_y
_atom_site_fract_z
_atom_site_occupancy
Cs1 Cs 0.2032 0.1918 0.0000 1
Sm1 Sm 0.0000 0.5000 0.5000 1
S1 S 0.0043 0.9305 0.5000 1
S2 S 0.0183 0.6642 0.1982 1
S3 S 0.1954 0.8875 0.5000 1
S4 S 0.2330 0.5152 0.5000 1
```

Record 4
Diffraction record for CsSmSnS4. The X-ray diffraction stick pattern is computed, not measured: it uses a cell relaxed with PBE and λ = 1.5418 Å (Cu Kα).
Intensities are scaled so that the largest is 100.

Most intense lines, 2θ = 5–70°, low angle first:
d [Å], Rel. int.
9.161, 93
3.839, 77
3.519, 100
2.985, 94
2.884, 96
2.392, 67

Cell and atoms:
```
data_CsSmSnS4
_space_group_name_H-M_alt 'P 1 21/m 1'
_space_group_IT_number 11
_space_group_name_Hall '-P 2yb'
_cell_length_a 6.8624
_cell_length_b 7.0381
_cell_length_c 9.6408
_cell_angle_alpha 90.00
_cell_angle_beta 108.15
_cell_angle_gamma 90.00
loop_
_atom_site_label
_atom_site_type_symbol
_atom_site_fract_x
_atom_site_fract_y
_atom_site_fract_z
_atom_site_occupancy
Cs1 Cs 0.2357 0.2500 0.4414 1
Sm1 Sm 0.2860 0.2500 0.9522 1
Sn1 Sn 0.2605 0.7500 0.1590 1
S1 S 0.0286 0.7500 0.9167 1
S2 S 0.0532 0.7500 0.3159 1
S3 S 0.4925 0.5069 0.8090 1
```

Record 5
Diffraction record for Cs3SmTm2S6. The X-ray diffraction stick pattern is computed, not measured: it uses a cell relaxed with PBE and λ = 1.5418 Å (Cu Kα).
Intensities are scaled so that the largest is 100.

Most intense lines, 2θ = 5–70°, low angle first:
d [Å], Rel. int.
4.032, 33
3.408, 55
3.063, 100
2.302, 38
2.051, 33
1.828, 23

Cell and atoms:
```
data_Cs3SmTm2S6
_space_group_name_H-M_alt 'C 1 2/m 1'
_space_group_IT_number 12
_space_group_name_Hall '-C 2y'
_cell_length_a 7.1038
_cell_length_b 12.3039
_cell_length_c 8.4039
_cell_angle_alpha 90.00
_cell_angle_beta 106.37
_cell_angle_gamma 90.00
loop_
_atom_site_label
_atom_site_type_symbol
_atom_site_fract_x
_atom_site_fract_y
_atom_site_fract_z
_atom_site_occupancy
Cs1 Cs 0.0000 0.0000 0.0000 1
Cs2 Cs 0.0000 0.3345 0.0000 1
Sm1 Sm 0.0000 0.5000 0.5000 1
Tm1 Tm 0.0000 0.1667 0.5000 1
S1 S 0.2184 0.0000 0.6808 1
S2 S 0.2314 0.3290 0.6813 1
```

Record 6
Diffraction record for CsSm2US5. The X-ray diffraction stick pattern is computed, not measured: it uses a cell relaxed with PBE and λ = 1.5418 Å (Cu Kα).
Intensities are scaled so that the largest is 100.

Most intense lines, 2θ = 5–70°, low angle first:
d [Å], Rel. int.
6.453, 30
3.655, 25
3.561, 100
2.535, 21
2.502, 23
2.092, 25

Cell and atoms:
```
data_CsSm2US5
_space_group_name_H-M_alt 'I m m m'
_space_group_IT_number 71
_space_group_name_Hall '-I 2 2'
_cell_length_a 5.0695
_cell_length_b 7.3101
_cell_length_c 13.7307
_cell_angle_alpha 90.00
_cell_angle_beta 90.00
_cell_angle_gamma 90.00
loop_
_atom_site_label
_atom_site_type_symbol
_atom_site_fract_x
_atom_site_fract_y
_atom_site_fract_z
_atom_site_occupancy
Cs1 Cs 0.0000 0.0000 0.0000 1
Sm1 Sm 0.0000 0.5000 0.2052 1
U1 U 0.0000 0.0000 0.5000 1
S1 S 0.0000 0.2323 0.3458 1
S2 S 0.0000 0.5000 0.0000 1
```

Record 7
Diffraction record for Cs3Sm3WS8. The X-ray diffraction stick pattern is computed, not measured: it uses a cell relaxed with PBE and λ = 1.5418 Å (Cu Kα).
Intensities are scaled so that the largest is 100.

Most intense lines, 2θ = 5–70°, low angle first:
d [Å], Rel. int.
8.240, 31
4.120, 34
3.355, 50
3.036, 100
2.312, 37
2.014, 53

Cell and atoms:
```
data_Cs3Sm3WS8
_space_group_name_H-M_alt 'R -3 m'
_space_group_IT_number 166
_space_group_name_Hall '-R 3 2"'
_cell_length_a 8.0501
_cell_length_b 8.0501
_cell_length_c 24.7186
_cell_angle_alpha 90.00
_cell_angle_beta 90.00
_cell_angle_gamma 120.00
loop_
_atom_site_label
_atom_site_type_symbol
_atom_site_fract_x
_atom_site_fract_y
_atom_site_fract_z
_atom_site_occupancy
Cs1 Cs 0.0000 0.5000 0.0000 1
Sm1 Sm 0.0000 0.5000 0.5000 1
W1 W 0.0000 0.0000 0.5000 1
S1 S 0.0000 0.0000 0.2289 1
S2 S 0.0339 0.5169 0.2239 1
```

Record 8
Diffraction record for CsSn2S3. The X-ray diffraction stick pattern is computed, not measured: it uses a cell relaxed with PBE and λ = 1.5418 Å (Cu Kα).
Intensities are scaled so that the largest is 100.

Most intense lines, 2θ = 5–70°, low angle first:
d [Å], Rel. int.
4.106, 100
3.207, 70
2.987, 61
2.825, 78
2.726, 66
2.527, 96

Cell and atoms:
```
data_CsSn2S3
_space_group_name_H-M_alt 'P m c 21'
_space_group_IT_number 26
_space_group_name_Hall 'P 2c -2'
_cell_length_a 3.8379
_cell_length_b 11.6779
_cell_length_c 8.2116
_cell_angle_alpha 90.00
_cell_angle_beta 90.00
_cell_angle_gamma 90.00
loop_
_atom_site_label
_atom_site_type_symbol
_atom_site_fract_x
_atom_site_fract_y
_atom_site_fract_z
_atom_site_occupancy
Cs1 Cs 0.0000 0.1405 0.0000 1
Sn1 Sn 0.0000 0.2291 0.5005 1
Sn2 Sn 0.5000 0.4819 0.0673 1
S1 S 0.0000 0.3953 0.7121 1
S2 S 0.5000 0.1043 0.6315 1
S3 S 0.5000 0.3147 0.2854 1
```

Record 9
Diffraction record for Cs5Sn2S6. The X-ray diffraction stick pattern is computed, not measured: it uses a cell relaxed with PBE and λ = 1.5418 Å (Cu Kα).
Intensities are scaled so that the largest is 100.

Most intense lines, 2θ = 5–70°, low angle first:
d [Å], Rel. int.
7.211, 45
4.020, 44
3.808, 96
3.664, 100
3.585, 83
3.420, 52

Cell and atoms:
```
data_Cs5Sn2S6
_space_group_name_H-M_alt 'C 1 2/c 1'
_space_group_IT_number 15
_space_group_name_Hall '-C 2yc'
_cell_length_a 13.9028
_cell_length_b 9.0056
_cell_length_c 18.1403
_cell_angle_alpha 90.00
_cell_angle_beta 101.55
_cell_angle_gamma 90.00
loop_
_atom_site_label
_atom_site_type_symbol
_atom_site_fract_x
_atom_site_fract_y
_atom_site_fract_z
_atom_site_occupancy
Cs1 Cs 0.0000 0.1457 0.2500 1
Cs2 Cs 0.0412 0.2323 0.9986 1
Cs3 Cs 0.1575 0.3912 0.7239 1
Sn1 Sn 0.2253 0.3771 0.4273 1
S1 S 0.0611 0.4665 0.3745 1
S2 S 0.1491 0.0378 0.6400 1
S3 S 0.2127 0.0918 0.4286 1
```

Record 10
Diffraction record for Cs4SnS5. The X-ray diffraction stick pattern is computed, not measured: it uses a cell relaxed with PBE and λ = 1.5418 Å (Cu Kα).
Intensities are scaled so that the largest is 100.

Most intense lines, 2θ = 5–70°, low angle first:
d [Å], Rel. int.
3.949, 100
3.620, 43
3.331, 69
2.451, 51
2.355, 23
2.023, 44

Cell and atoms:
```
data_Cs4SnS5
_space_group_name_H-M_alt 'I 4'
_space_group_IT_number 79
_space_group_name_Hall 'I 4'
_cell_length_a 10.5349
_cell_length_b 10.5349
_cell_length_c 7.2400
_cell_angle_alpha 90.00
_cell_angle_beta 90.00
_cell_angle_gamma 90.00
loop_
_atom_site_label
_atom_site_type_symbol
_atom_site_fract_x
_atom_site_fract_y
_atom_site_fract_z
_atom_site_occupancy
Cs1 Cs 0.0880 0.2973 0.0000 1
Sn1 Sn 0.0000 0.0000 0.4236 1
S1 S 0.0000 0.0000 0.0901 1
S2 S 0.0724 0.2219 0.5135 1
```

Record 11
Diffraction record for Cs3SnS4. The X-ray diffraction stick pattern is computed, not measured: it uses a cell relaxed with PBE and λ = 1.5418 Å (Cu Kα).
Intensities are scaled so that the largest is 100.

Most intense lines, 2θ = 5–70°, low angle first:
d [Å], Rel. int.
4.713, 26
3.904, 100
3.346, 39
3.136, 33
2.996, 26
2.232, 30

Cell and atoms:
```
data_Cs3SnS4
_space_group_name_H-M_alt 'I m m 2'
_space_group_IT_number 44
_space_group_name_Hall 'I 2 -2'
_cell_length_a 5.9929
_cell_length_b 13.9413
_cell_length_c 7.6295
_cell_angle_alpha 90.00
_cell_angle_beta 90.00
_cell_angle_gamma 90.00
loop_
_atom_site_label
_atom_site_type_symbol
_atom_site_fract_x
_atom_site_fract_y
_atom_site_fract_z
_atom_site_occupancy
Cs1 Cs 0.0000 0.0000 0.0000 1
Cs2 Cs 0.0000 0.2868 0.2256 1
Sn1 Sn 0.0000 0.5000 0.8436 1
S1 S 0.0000 0.3574 0.6671 1
S2 S 0.2165 0.0000 0.5719 1
```

Repeat the first record exactly.
Diffraction record for Cs2TiSiS4. The X-ray diffraction stick pattern is computed, not measured: it uses a cell relaxed with PBE and λ = 1.5418 Å (Cu Kα).
Intensities are scaled so that the largest is 100.

Most intense lines, 2θ = 5–70°, low angle first:
d [Å], Rel. int.
4.761, 65
3.560, 91
3.412, 100
2.992, 71
2.535, 44
2.045, 44

Cell and atoms:
```
data_Cs2TiSiS4
_space_group_name_H-M_alt 'F d d d'
_space_group_IT_number 70
_cell_length_a 6.4034
_cell_length_b 13.8371
_cell_length_c 24.9134
_cell_angle_alpha 90.00
_cell_angle_beta 90.00
_cell_angle_gamma 90.00
loop_
_space_group_symop_operation_xyz
'x,y,z'
'-x,-y,-z'
'-x+1/4,-y+1/4,z'
'x+1/4,y+1/4,-z'
'x,-y+1/4,-z+1/4'
'-x,y+1/4,z+1/4'
'-x+1/4,y,-z+1/4'
'x+1/4,-y,z+1/4'
'x,y+1/2,z+1/2'
'-x,-y+1/2,-z+1/2'
'-x+1/4,-y+3/4,z+1/2'
'x+1/4,y+3/4,-z+1/2'
'x,-y+3/4,-z+3/4'
'-x,y+3/4,z+3/4'
'-x+1/4,y+1/2,-z+3/4'
'x+1/4,-y+1/2,z+3/4'
'x+1/2,y,z+1/2'
'-x+1/2,-y,-z+1/2'
'-x+3/4,-y+1/4,z+1/2'
'x+3/4,y+1/4,-z+1/2'
'x+1/2,-y+1/4,-z+3/4'
'-x+1/2,y+1/4,z+3/4'
'-x+3/4,y,-z+3/4'
'x+3/4,-y,z+3/4'
'x+1/2,y+1/2,z'
'-x+1/2,-y+1/2,-z'
'-x+3/4,-y+3/4,z'
'x+3/4,y+3/4,-z'
'x+1/2,-y+3/4,-z+1/4'
'-x+1/2,y+3/4,z+1/4'
'-x+3/4,y+1/2,-z+1/4'
'x+3/4,-y+1/2,z+1/4'
loop_
_atom_site_label
_atom_site_type_symbol
_atom_site_fract_x
_atom_site_fract_y
_atom_site_fract_z
_atom_site_occupancy
Cs1 Cs 0.1250 0.1250 0.3011 1
Ti1 Ti 0.1250 0.1250 0.1250 1
Si1 Si 0.1250 0.1250 0.6250 1
S1 S 0.1204 0.2904 0.8288 1
```

What did the third record say?
Diffraction record for Cs2SmS10. The X-ray diffraction stick pattern is computed, not measured: it uses a cell relaxed with PBE and λ = 1.5418 Å (Cu Kα).
Intensities are scaled so that the largest is 100.

Most intense lines, 2θ = 5–70°, low angle first:
d [Å], Rel. int.
9.209, 34
4.604, 23
4.184, 100
3.957, 63
3.045, 25
2.462, 24

Cell and atoms:
```
data_Cs2SmS10
_space_group_name_H-M_alt 'P b a m'
_space_group_IT_number 55
_space_group_name_Hall '-P 2 2ab'
_cell_length_a 12.1808
_cell_length_b 14.0687
_cell_length_c 5.2041
_cell_angle_alpha 90.00
_cell_angle_beta 90.00
_cell_angle_gamma 90.00
loop_
_atom_site_label
_atom_site_type_symbol
_atom_site_fract_x
_atom_site_fract_y
_atom_site_fract_z
_atom_site_occupancy
Cs1 Cs 0.2032 0.1918 0.0000 1
Sm1 Sm 0.0000 0.5000 0.5000 1
S1 S 0.0043 0.9305 0.5000 1
S2 S 0.0183 0.6642 0.1982 1
S3 S 0.1954 0.8875 0.5000 1
S4 S 0.2330 0.5152 0.5000 1
```